This entry pairs a crystal structure of Zr4InC with its theoretical powder diffractogram. Radiation: Cu Kα (weighted mean of Kα1 and Kα2). Structure: a GGA-PBE-relaxed structure.
Peak positions follow from Bragg's law for the DFT cell and can differ from measured ones.

Principal peaks in the range 10° ≤ 2θ ≤ 90°, by angle:
(hkl)  two_theta  Rel. int.
2 1 0  29.93  45
1 2 0  32.09  27
1 0 -2  32.36  88
0 2 1  32.86  47
2 1 1  33.54  100
1 2 -1  35.43  65
1 1 2  35.73  37
3 1 -1  44.93  47
1 3 1  49.06  26
1 1 3  49.57  31

Cell and atoms:
```
Zr4InC
1.0
6.845 0.000 0.000
0.000 6.110 0.000
-0.028 0.000 6.038
Zr In C
8 2 2
Direct
0.093 0.154 0.332
0.093 0.346 0.832
0.299 0.603 0.420
0.299 0.897 0.920
0.701 0.103 0.080
0.701 0.397 0.580
0.907 0.654 0.168
0.907 0.846 0.668
0.500 0.000 0.500
0.500 0.500 0.000
0.000 0.000 0.000
0.000 0.500 0.500
```